# 1
Structure and simulated PXRD pattern of Lu4NiAsN2 (a DFT-relaxed cell (GGA-PBE, OQMD); Cu Kα, 1.54184 Å).

Cell lengths 3.4281, 3.4281, 13.3372 Å; angles 90.00, 90.00, 120.00 degrees
Space group P-6m2 (No. 187)
Symmetry-distinct sites (fractional):
Lu: 0.0000 0.0000 0.1423 (multiplicity 2)
Lu: 0.6667 0.3333 0.3433 (multiplicity 2)
Ni: 0.6667 0.3333 0.0000 (multiplicity 1)
As: 0.0000 0.0000 0.5000 (multiplicity 1)
N: 0.3333 0.6667 0.2553 (multiplicity 2)

Largest 8 diffraction maxima, in order of falling intensity, 2θ from 10° to 90°:
2θ/deg	I/Imax
36.39	100
30.10	27
53.46	26
66.40	17
30.86	17
69.22	16
26.74	12
40.58	11


# 2
Structure and simulated PXRD pattern of Lu2Ni12As7 (a DFT-relaxed cell (GGA-PBE, OQMD); Cu Kα, 1.54184 Å).

Cell lengths 9.3497, 9.3497, 3.7797 Å; angles 90.00, 90.00, 120.00 degrees
Space group P-6 (No. 174)
Symmetry-distinct sites (fractional):
Lu: 0.0000 0.0000 0.0000 (multiplicity 1)
Lu: 0.3333 0.6667 0.5000 (multiplicity 1)
Ni: 0.0456 0.7611 0.5000 (multiplicity 3)
Ni: 0.1052 0.3901 0.0000 (multiplicity 3)
Ni: 0.3867 0.2067 0.0000 (multiplicity 3)
Ni: 0.5504 0.1205 0.5000 (multiplicity 3)
As: 0.0729 0.6195 0.0000 (multiplicity 3)
As: 0.2574 0.0372 0.5000 (multiplicity 3)
As: 0.6667 0.3333 0.0000 (multiplicity 1)

Largest 8 diffraction maxima, in order of falling intensity, 2θ from 10° to 90°:
2θ/deg	I/Imax
37.82	100
51.74	25
48.15	24
47.07	19
73.35	17
55.09	17
32.41	16
33.19	12


Repeat the second record exactly.
Structure and simulated PXRD pattern of Lu2Ni12As7 (a DFT-relaxed cell (GGA-PBE, OQMD); Cu Kα, 1.54184 Å).

Cell lengths 9.3497, 9.3497, 3.7797 Å; angles 90.00, 90.00, 120.00 degrees
Space group P-6 (No. 174)
Symmetry-distinct sites (fractional):
Lu: 0.0000 0.0000 0.0000 (multiplicity 1)
Lu: 0.3333 0.6667 0.5000 (multiplicity 1)
Ni: 0.0456 0.7611 0.5000 (multiplicity 3)
Ni: 0.1052 0.3901 0.0000 (multiplicity 3)
Ni: 0.3867 0.2067 0.0000 (multiplicity 3)
Ni: 0.5504 0.1205 0.5000 (multiplicity 3)
As: 0.0729 0.6195 0.0000 (multiplicity 3)
As: 0.2574 0.0372 0.5000 (multiplicity 3)
As: 0.6667 0.3333 0.0000 (multiplicity 1)

Largest 8 diffraction maxima, in order of falling intensity, 2θ from 10° to 90°:
2θ/deg	I/Imax
37.82	100
51.74	25
48.15	24
47.07	19
73.35	17
55.09	17
32.41	16
33.19	12